Record 1
Diffraction record for Cs6Rb8Te. The powder diffractogram is computed, not measured: it uses DFT lattice parameters and positions (GGA-PBE) and copper Kα.

```
data_Cs6Rb8Te
_cell_length_a 13.8185
_cell_length_b 13.8185
_cell_length_c 25.6846
_cell_angle_alpha 90.00
_cell_angle_beta 90.00
_cell_angle_gamma 120.00
_symmetry_space_group_name_H-M 'R -3'
_symmetry_Int_Tables_number 148
_symmetry_space_group_name_Hall '-R 3'
loop_
_atom_site_label
_atom_site_fract_x
_atom_site_fract_y
_atom_site_fract_z
Cs1 0.0464 0.2428 0.4155
Rb1 0.0000 0.0000 0.2483
Rb2 0.0524 0.2290 0.9169
Te1 0.0000 0.0000 0.0000
```

Largest 6 diffraction maxima, sorted by position, 5° ≤ 2θ ≤ 70°:
Position (°2θ)  I_rel  (hkl)
20.8  100.0  0 0 6
24.1  73.4  2 1 4
34.3  57.3  3 -2 8
40.4  38.6  2 1 10
42.4  15.3  6 -4 4
61.5  14.6  0 7 8

***

Record 2
Diffraction record for CsRbTl2Te2. The powder diffractogram is computed, not measured: it uses DFT lattice parameters and positions (GGA-PBE) and copper Kα.

```
data_CsRbTl2Te2
_cell_length_a 5.9167
_cell_length_b 5.9167
_cell_length_c 8.4997
_cell_angle_alpha 90.00
_cell_angle_beta 90.00
_cell_angle_gamma 120.00
_symmetry_space_group_name_H-M 'P -3 m 1'
_symmetry_Int_Tables_number 164
_symmetry_space_group_name_Hall '-P 3 2"'
loop_
_atom_site_label
_atom_site_fract_x
_atom_site_fract_y
_atom_site_fract_z
Cs1 0.0000 0.0000 0.0000
Rb1 0.0000 0.0000 0.5000
Tl1 0.3333 0.6667 0.6821
Te1 0.3333 0.6667 0.2857
```

Largest 6 diffraction maxima, sorted by position, 5° ≤ 2θ ≤ 70°:
Position (°2θ)  I_rel  (hkl)
20.2  24.1  1 0 1
27.3  83.6  0 1 2
30.2  100.0  1 1 0
41.1  27.7  2 0 2
44.3  31.9  1 1 3
51.9  28.2  1 2 2

***

Record 3
Diffraction record for Cs2RbU3Te8. The powder diffractogram is computed, not measured: it uses DFT lattice parameters and positions (GGA-PBE) and copper Kα.

```
data_Cs2RbU3Te8
_cell_length_a 9.1609
_cell_length_b 9.1609
_cell_length_c 27.6161
_cell_angle_alpha 90.00
_cell_angle_beta 90.00
_cell_angle_gamma 120.00
_symmetry_space_group_name_H-M 'R 3 m'
_symmetry_Int_Tables_number 160
_symmetry_space_group_name_Hall 'R 3 -2"'
loop_
_atom_site_label
_atom_site_fract_x
_atom_site_fract_y
_atom_site_fract_z
Cs1 0.0000 0.0000 0.0000
Cs2 0.0000 0.0000 0.3596
Rb1 0.0000 0.0000 0.7228
U1 0.1673 0.3346 0.1931
Te1 0.0000 0.0000 0.1342
Te2 0.0000 0.0000 0.5877
Te3 0.0251 0.5126 0.1343
Te4 0.1804 0.3609 0.9178
```

Largest 6 diffraction maxima, sorted by position, 5° ≤ 2θ ≤ 70°:
Position (°2θ)  I_rel  (hkl)
9.6  100.0  0 0 3
21.7  46.6  1 1 3
25.9  99.4  0 2 4
32.0  77.7  0 2 7
34.4  42.3  2 0 8
39.3  66.2  2 2 0

***

Record 4
Diffraction record for Cs2RbTl10. The powder diffractogram is computed, not measured: it uses DFT lattice parameters and positions (GGA-PBE) and copper Kα.

```
data_Cs2RbTl10
_cell_length_a 8.9302
_cell_length_b 17.6347
_cell_length_c 7.4479
_cell_angle_alpha 90.00
_cell_angle_beta 90.00
_cell_angle_gamma 90.00
_symmetry_space_group_name_H-M 'P b a m'
_symmetry_Int_Tables_number 55
loop_
_symmetry_equiv_pos_as_xyz
'x,y,z'
'-x,-y,-z'
'-x,-y,z'
'x,y,-z'
'x+1/2,-y+1/2,-z'
'-x+1/2,y+1/2,z'
'-x+1/2,y+1/2,-z'
'x+1/2,-y+1/2,z'
loop_
_atom_site_label
_atom_site_fract_x
_atom_site_fract_y
_atom_site_fract_z
Cs1 0.1934 0.0876 0.0000
Rb1 0.0000 0.5000 0.5000
Tl1 0.0345 0.3012 0.5000
Tl2 0.1209 0.9352 0.5000
Tl3 0.1758 0.7987 0.2235
Tl4 0.1959 0.1472 0.5000
```

Largest 6 diffraction maxima, sorted by position, 5° ≤ 2θ ≤ 70°:
Position (°2θ)  I_rel  (hkl)
10.0  64.7  0 2 0
11.9  100.0  0 0 1
25.5  44.0  1 4 1
27.8  64.3  1 2 2
31.7  48.4  2 1 2
36.5  39.2  1 5 2

***

Record 5
Diffraction record for CsRbTl3. The powder diffractogram is computed, not measured: it uses DFT lattice parameters and positions (GGA-PBE) and copper Kα.

```
data_CsRbTl3
_cell_length_a 9.5293
_cell_length_b 10.4673
_cell_length_c 10.1595
_cell_angle_alpha 90.00
_cell_angle_beta 119.00
_cell_angle_gamma 90.00
_symmetry_space_group_name_H-M 'P 1 21/c 1'
_symmetry_Int_Tables_number 14
loop_
_symmetry_equiv_pos_as_xyz
'x,y,z'
'-x,-y,-z'
'-x,y+1/2,-z+1/2'
'x,-y+1/2,z+1/2'
loop_
_atom_site_label
_atom_site_fract_x
_atom_site_fract_y
_atom_site_fract_z
Cs1 0.2242 0.0068 0.0725
Rb1 0.4934 0.7186 0.9953
Tl1 0.0473 0.6506 0.8780
Tl2 0.0483 0.1439 0.3707
Tl3 0.2919 0.0021 0.6965
```

Largest 6 diffraction maxima, sorted by position, 5° ≤ 2θ ≤ 70°:
Position (°2θ)  I_rel  (hkl)
10.6  100.0  1 0 0
13.5  57.9  1 1 -1
24.4  68.6  1 2 -2
27.4  75.0  2 2 0
28.0  57.2  1 1 -3
28.5  82.8  3 0 -2

***

Record 6
Diffraction record for Cs2Rb5Tl4. The powder diffractogram is computed, not measured: it uses DFT lattice parameters and positions (GGA-PBE) and copper Kα.

```
data_Cs2Rb5Tl4
_cell_length_a 17.6691
_cell_length_b 8.8340
_cell_length_c 10.8967
_cell_angle_alpha 90.00
_cell_angle_beta 118.11
_cell_angle_gamma 90.00
_symmetry_space_group_name_H-M 'C 1 2/m 1'
_symmetry_Int_Tables_number 12
loop_
_symmetry_equiv_pos_as_xyz
'x,y,z'
'-x,-y,-z'
'-x,y,-z'
'x,-y,z'
'x+1/2,y+1/2,z'
'-x+1/2,-y+1/2,-z'
'-x+1/2,y+1/2,-z'
'x+1/2,-y+1/2,z'
loop_
_atom_site_label
_atom_site_fract_x
_atom_site_fract_y
_atom_site_fract_z
Cs1 0.2299 0.0000 0.0909
Rb1 0.0000 0.5000 0.0000
Rb2 0.1084 0.2519 0.4041
Tl1 0.0802 0.0000 0.6578
Tl2 0.2340 0.5000 0.2595
```

Largest 6 diffraction maxima, sorted by position, 5° ≤ 2θ ≤ 70°:
Position (°2θ)  I_rel  (hkl)
13.0  100.0  1 1 -1
20.1  28.4  0 2 0
24.0  23.0  1 1 2
26.1  40.4  2 2 -2
26.9  23.6  3 1 -3
27.6  51.3  1 1 -3

***

Record 7
Diffraction record for Cs9Rb6Tl. The powder diffractogram is computed, not measured: it uses DFT lattice parameters and positions (GGA-PBE) and copper Kα.

```
data_Cs9Rb6Tl
_cell_length_a 11.9040
_cell_length_b 11.9040
_cell_length_c 22.1546
_cell_angle_alpha 90.00
_cell_angle_beta 90.00
_cell_angle_gamma 90.00
_symmetry_space_group_name_H-M 'I 4/m'
_symmetry_Int_Tables_number 87
_symmetry_space_group_name_Hall '-I 4'
loop_
_atom_site_label
_atom_site_fract_x
_atom_site_fract_y
_atom_site_fract_z
Cs1 0.0000 0.0000 0.0000
Cs2 0.1171 0.3064 0.1603
Rb1 0.0000 0.0000 0.3306
Rb2 0.0945 0.2984 0.5000
Tl1 0.0000 0.0000 0.5000
```

Largest 6 diffraction maxima, sorted by position, 5° ≤ 2θ ≤ 70°:
Position (°2θ)  I_rel  (hkl)
20.6  100.0  2 1 3
23.6  54.8  1 3 0
24.1  25.6  0 0 6
34.0  41.8  1 3 6
39.8  30.3  5 0 3
41.8  22.0  4 2 6

***

Record 8
Diffraction record for CsRb14Tl27. The powder diffractogram is computed, not measured: it uses DFT lattice parameters and positions (GGA-PBE) and copper Kα.

```
data_CsRb14Tl27
_cell_length_a 10.6001
_cell_length_b 10.6001
_cell_length_c 18.0235
_cell_angle_alpha 90.00
_cell_angle_beta 90.00
_cell_angle_gamma 120.00
_symmetry_space_group_name_H-M 'P -6 2 m'
_symmetry_Int_Tables_number 189
_symmetry_space_group_name_Hall 'P -6 -2'
loop_
_atom_site_label
_atom_site_fract_x
_atom_site_fract_y
_atom_site_fract_z
Cs1 0.0000 0.0000 0.0000
Rb1 0.0000 0.2721 0.1857
Rb2 0.0000 0.6123 0.3157
Rb3 0.3333 0.6667 0.5000
Tl1 0.0000 0.0000 0.3504
Tl2 0.0000 0.2847 0.4084
Tl3 0.0000 0.6173 0.1010
Tl4 0.0000 0.7869 0.5000
Tl5 0.1737 0.4633 0.0000
Tl6 0.3333 0.6667 0.1569
```

Largest 6 diffraction maxima, sorted by position, 5° ≤ 2θ ≤ 70°:
Position (°2θ)  I_rel  (hkl)
9.8  55.5  0 0 2
10.8  100.0  1 0 1
29.2  52.6  3 0 0
29.7  60.5  0 0 6
30.0  86.1  1 1 5
35.5  31.1  3 0 4

***

Record 9
Diffraction record for Cs4Rb2Tl. The powder diffractogram is computed, not measured: it uses DFT lattice parameters and positions (GGA-PBE) and copper Kα.

```
data_Cs4Rb2Tl
_cell_length_a 7.5386
_cell_length_b 7.5386
_cell_length_c 24.3329
_cell_angle_alpha 90.00
_cell_angle_beta 90.00
_cell_angle_gamma 90.00
_symmetry_space_group_name_H-M 'I 4/m m m'
_symmetry_Int_Tables_number 139
_symmetry_space_group_name_Hall '-I 4 2'
loop_
_atom_site_label
_atom_site_fract_x
_atom_site_fract_y
_atom_site_fract_z
Cs1 0.0000 0.0000 0.1649
Cs2 0.0000 0.5000 0.0000
Rb1 0.0000 0.0000 0.3625
Tl1 0.0000 0.0000 0.0000
```

Largest 6 diffraction maxima, sorted by position, 5° ≤ 2θ ≤ 70°:
Position (°2θ)  I_rel  (hkl)
7.3  77.6  0 0 2
12.3  51.5  1 0 1
21.7  44.5  1 0 5
21.9  47.7  0 0 6
23.6  100.0  2 0 0
32.4  70.6  2 0 6

***

Record 10
Diffraction record for Cs5Rb2Tl2. The powder diffractogram is computed, not measured: it uses DFT lattice parameters and positions (GGA-PBE) and copper Kα.

```
data_Cs5Rb2Tl2
_cell_length_a 11.4596
_cell_length_b 11.9414
_cell_length_c 10.2903
_cell_angle_alpha 90.00
_cell_angle_beta 90.00
_cell_angle_gamma 90.00
_symmetry_space_group_name_H-M 'A m m 2'
_symmetry_Int_Tables_number 38
loop_
_symmetry_equiv_pos_as_xyz
'x,y,z'
'-x,-y,z'
'-x,y,z'
'x,-y,z'
'x,y+1/2,z+1/2'
'-x,-y+1/2,z+1/2'
'-x,y+1/2,z+1/2'
'x,-y+1/2,z+1/2'
loop_
_atom_site_label
_atom_site_fract_x
_atom_site_fract_y
_atom_site_fract_z
Cs1 0.0000 0.0000 0.0000
Cs2 0.2824 0.2134 0.7266
Rb1 0.0000 0.0000 0.4533
Rb2 0.5000 0.0000 0.3794
Tl1 0.3704 0.0000 0.0269
```

Largest 6 diffraction maxima, sorted by position, 5° ≤ 2θ ≤ 70°:
Position (°2θ)  I_rel  (hkl)
11.4  56.1  0 1 1
21.5  54.4  2 2 0
22.8  100.0  0 2 2
23.3  67.7  3 0 0
24.0  33.6  0 3 1
32.8  40.5  3 2 2

***

Record 11
Diffraction record for Cs2RbTl. The powder diffractogram is computed, not measured: it uses DFT lattice parameters and positions (GGA-PBE) and copper Kα.

```
data_Cs2RbTl
_cell_length_a 13.2140
_cell_length_b 8.8351
_cell_length_c 11.5203
_cell_angle_alpha 90.00
_cell_angle_beta 115.69
_cell_angle_gamma 90.00
_symmetry_space_group_name_H-M 'P 1 21/c 1'
_symmetry_Int_Tables_number 14
loop_
_symmetry_equiv_pos_as_xyz
'x,y,z'
'-x,-y,-z'
'-x,y+1/2,-z+1/2'
'x,-y+1/2,z+1/2'
loop_
_atom_site_label
_atom_site_fract_x
_atom_site_fract_y
_atom_site_fract_z
Cs1 0.1671 0.2494 0.0846
Cs2 0.2107 0.7176 0.8571
Rb1 0.4994 0.5008 0.3099
Tl1 0.4234 0.1381 0.4620
```

Largest 6 diffraction maxima, sorted by position, 5° ≤ 2θ ≤ 70°:
Position (°2θ)  I_rel  (hkl)
7.4  99.0  1 0 0
13.2  50.3  0 1 1
19.9  48.9  0 1 2
23.7  100.0  3 1 -2
25.6  45.5  1 1 -3
29.1  41.0  2 1 2

***

Record 12
Diffraction record for Cs3Rb9Tl2. The powder diffractogram is computed, not measured: it uses DFT lattice parameters and positions (GGA-PBE) and copper Kα.

```
data_Cs3Rb9Tl2
_cell_length_a 5.3887
_cell_length_b 18.5513
_cell_length_c 23.2905
_cell_angle_alpha 90.00
_cell_angle_beta 90.00
_cell_angle_gamma 90.00
_symmetry_space_group_name_H-M 'I m m m'
_symmetry_Int_Tables_number 71
_symmetry_space_group_name_Hall '-I 2 2'
loop_
_atom_site_label
_atom_site_fract_x
_atom_site_fract_y
_atom_site_fract_z
Cs1 0.0000 0.0000 0.0000
Cs2 0.0000 0.2975 0.0000
Rb1 0.0000 0.0000 0.5000
Rb2 0.0000 0.1246 0.3194
Rb3 0.0000 0.3738 0.3469
Tl1 0.0000 0.5000 0.1128
```

Largest 6 diffraction maxima, sorted by position, 5° ≤ 2θ ≤ 70°:
Position (°2θ)  I_rel  (hkl)
6.1  100.0  0 1 1
20.1  52.8  1 0 3
20.6  43.0  0 4 2
23.0  82.6  0 0 6
25.6  60.4  1 4 1
27.9  43.9  1 4 3